1.
CoPCl2: computed X-ray powder pattern (Cu Kα (weighted mean of Kα1 and Kα2)), based on DFT lattice parameters and positions (GGA-PBE).
No peak broadening, texture or thermal motion is included.

The 6 most intense peaks (15° ≤ 2θ ≤ 90°), in order of falling intensity:
32.2°, I 100.0
33.4°, I 52.1
37.2°, I 44.7
44.7°, I 39.6
54.5°, I 31.8
56.0°, I 27.6

Atomic structure:
Cell: 5.842 3.372 8.174 Å, 90.00 94.27 90.00°
Space group Cm (No. 8)
Unique sites:
Co 0.000 0.000 0.000 (multiplicity 2)
P 0.154 0.500 0.877 (multiplicity 2)
Cl 0.127 0.500 0.629 (multiplicity 2)
Cl 0.352 0.000 0.177 (multiplicity 2)

---

2.
Pa6CoCl15: computed X-ray powder pattern (Cu Kα (weighted mean of Kα1 and Kα2)), based on DFT lattice parameters and positions (GGA-PBE).
No peak broadening, texture or thermal motion is included.

The 6 most intense peaks (15° ≤ 2θ ≤ 90°), in order of falling intensity:
32.4°, I 100.0
46.4°, I 70.6
30.2°, I 54.8
19.7°, I 50.8
41.6°, I 40.5
25.5°, I 34.3

Atomic structure:
Cell: 11.064 11.064 11.064 Å, 90.00 90.00 90.00°
Space group Im-3m (No. 229)
Unique sites:
Pa 0.000 0.000 0.241 (multiplicity 12)
Co 0.000 0.000 0.000 (multiplicity 2)
Cl 0.000 0.000 0.500 (multiplicity 6)
Cl 0.000 0.247 0.247 (multiplicity 24)

---

3.
PrPaCoCl: computed X-ray powder pattern (Cu Kα (weighted mean of Kα1 and Kα2)), based on DFT lattice parameters and positions (GGA-PBE).
No peak broadening, texture or thermal motion is included.

The 6 most intense peaks (15° ≤ 2θ ≤ 90°), in order of falling intensity:
32.4°, I 100.0
27.7°, I 80.5
36.2°, I 69.1
45.9°, I 66.2
30.2°, I 45.6
42.2°, I 26.6

Atomic structure:
Cell: 3.9578 3.9578 46.6431 Å, 90.00 90.00 120.00°
Space group R-3m (No. 166, hexagonal axes)
Unique sites:
Pr 0.0000 0.0000 0.0893 (multiplicity 6)
Pa 0.0000 0.0000 0.3098 (multiplicity 6)
Co 0.0000 0.0000 0.3813 (multiplicity 6)
Cl 0.0000 0.0000 0.2053 (multiplicity 6)